Starting from a DFT-relaxed cell (GGA-PBE, Alexandria), the powder diffraction line list of Ac2SnHg16 was computed for Cu Kα, 1.54184 Å.
No peak broadening, texture or thermal motion is included.

Crystal structure
Cell: 10.2174 10.2174 17.0955 Å, 90.00 90.00 120.00°
Space group R3m (No. 160, hexagonal axes)
Symmetry-distinct sites (fractional):
Ac (0.0000, 0.0000, 0.0000)
Ac (0.0000, 0.0000, 0.3141)
Sn (0.0000, 0.0000, 0.6938)
Hg (0.0000, 0.0000, 0.5221)
Hg (0.0300, 0.3601, 0.3057)
Hg (0.1859, 0.3719, 0.1101)
Hg (0.2092, 0.4185, 0.8263)
Hg (0.2160, 0.4320, 0.4934)

Principal peaks in the range 2θ from 10° to 80°, most intense first:
d [Å]  Position (°2θ)  I_rel  hkl
2.619  34.23  100  0 3 3
2.950  30.30  30  3 0 0
2.849  31.40  24  0 0 6
3.074  29.05  19  0 2 4
1.597  57.71  17  0 3 9
1.703  53.84  17  3 3 0
1.462  63.66  14  3 3 6
2.049  44.20  13  3 0 6
2.705  33.11  11  2 0 5
2.488  36.10  10  1 1 6